Entry 1:
The following is a theoretical PXRD pattern of Dy10YTm4. It was derived from DFT lattice parameters and positions (GGA-PBE), using Cu Kα.

Peak list (10 most intense, 10° ≤ 2θ ≤ 90°, in order of rising 2θ)
2θ = 20.1°, I = 243; 2θ = 23.3°, I = 154; 2θ = 33.2°, I = 1000; 2θ = 39.1°, I = 134; 2θ = 47.6°, I = 183; 2θ = 52.2°, I = 58; 2θ = 53.7°, I = 65; 2θ = 59.3°, I = 381; 2θ = 69.6°, I = 118; 2θ = 79.4°, I = 164

Atomic structure:
```
Dy10YTm4
1.0
-6.0377 6.0377 3.8182
6.0377 -6.0377 3.8182
6.0377 6.0377 -3.8182
Dy Y Tm
10 1 4
direct
0.0470 0.3488 0.8987
0.1483 0.0470 0.6982
0.2500 0.7500 0.5000
0.3488 0.4501 0.3018
0.4501 0.1483 0.1013
0.5499 0.8517 0.8987
0.6512 0.5499 0.6982
0.7500 0.2500 0.5000
0.8517 0.9530 0.3018
0.9530 0.6512 0.1013
0.5000 0.5000 0.0000
0.1002 0.7000 0.8001
0.3000 0.1002 0.4002
0.7000 0.8998 0.5998
0.8998 0.3000 0.1999
```


Entry 2:
The following is a theoretical PXRD pattern of NbOs4Ru7. It was derived from DFT lattice parameters and positions (GGA-PBE), using Cu Kα.

Peak list (10 most intense, 10° ≤ 2θ ≤ 90°, in order of rising 2θ)
2θ = 39.2°, I = 457; 2θ = 41.6°, I = 1000; 2θ = 41.8°, I = 500; 2θ = 42.1°, I = 167; 2θ = 43.3°, I = 481; 2θ = 43.5°, I = 274; 2θ = 44.7°, I = 257; 2θ = 63.1°, I = 166; 2θ = 64.0°, I = 175; 2θ = 78.3°, I = 155

Atomic structure:
```
NbOs4Ru7
1.0
6.3592 -2.0888 0.0000
6.3592 2.0888 0.0000
-4.9401 0.0000 6.7254
Nb Os Ru
1 4 7
direct
0.0000 0.0000 0.0000
0.3013 0.3013 0.7843
0.3731 0.3731 0.4003
0.6363 0.6363 0.5871
0.6988 0.6988 0.2061
0.0374 0.0374 0.5889
0.1630 0.1630 0.3961
0.2020 0.2020 0.9966
0.4675 0.4675 0.1883
0.5317 0.5317 0.7954
0.7985 0.7985 0.9961
0.8413 0.8413 0.5981
```


Entry 3:
The following is a theoretical PXRD pattern of AlCu5. It was derived from DFT lattice parameters and positions (GGA-PBE), using Cu Kα.

Peak list (10 most intense, 10° ≤ 2θ ≤ 90°, in order of rising 2θ)
2θ = 42.8°, I = 1000; 2θ = 48.9°, I = 166; 2θ = 49.9°, I = 155; 2θ = 50.5°, I = 149; 2θ = 72.5°, I = 93; 2θ = 73.0°, I = 91; 2θ = 73.8°, I = 88; 2θ = 87.2°, I = 111; 2θ = 88.8°, I = 106; 2θ = 89.7°, I = 104

Atomic structure:
```
AlCu5
1.0
3.7265 0.0000 0.0000
0.0000 10.8351 0.0000
0.0000 0.0000 3.6529
Al Cu
2 10
direct
0.0000 0.0000 0.0000
0.5000 0.5000 0.0000
0.0000 0.1683 0.5000
0.0000 0.3336 0.0000
0.0000 0.5000 0.5000
0.0000 0.6664 0.0000
0.0000 0.8317 0.5000
0.5000 0.0000 0.5000
0.5000 0.1664 0.0000
0.5000 0.3317 0.5000
0.5000 0.6683 0.5000
0.5000 0.8336 0.0000
```


Entry 4:
The following is a theoretical PXRD pattern of Sr2NdVN4. It was derived from DFT lattice parameters and positions (GGA-PBE), using Cu Kα.

Peak list (10 most intense, 10° ≤ 2θ ≤ 90°, in order of rising 2θ)
2θ = 27.0°, I = 643; 2θ = 30.0°, I = 790; 2θ = 31.6°, I = 1000; 2θ = 32.3°, I = 555; 2θ = 42.6°, I = 322; 2θ = 45.5°, I = 335; 2θ = 56.1°, I = 200; 2θ = 56.9°, I = 299; 2θ = 57.1°, I = 215; 2θ = 58.4°, I = 247

Atomic structure:
```
Sr2NdVN4
1.0
7.4554 0.0000 0.0000
0.0000 7.0732 0.0000
0.0000 0.0000 5.5454
Sr Nd V N
4 2 2 8
direct
0.2434 0.1647 0.0000
0.2566 0.8353 0.5000
0.7434 0.8353 0.5000
0.7566 0.1647 0.0000
0.0000 0.3738 0.5094
0.5000 0.6262 0.0094
0.0000 0.6722 0.0353
0.5000 0.3278 0.5353
0.0000 0.4190 0.9476
0.0000 0.6702 0.3594
0.2152 0.7977 0.9618
0.2848 0.2023 0.4618
0.5000 0.3298 0.8594
0.5000 0.5810 0.4476
0.7152 0.2023 0.4618
0.7848 0.7977 0.9618
```